Simulated powder diffraction line list of Mg6VCr for λ = 1.5418 Å (Cu Kα), from a DFT-relaxed cell (PBE, the Materials Project).
No peak broadening, texture or thermal motion is included.

Structure:
a b c (Å): 4.9520 6.2580 10.6795
angles (deg): 90.00 90.00 90.00
Space group Amm2 (No. 38)
Unique sites:
Mg 0.0000 0.0000 0.0000
Mg 0.0000 0.0000 0.4991
Mg 0.0000 0.2486 0.2400
Mg 0.5000 0.2490 0.9094
V 0.5000 0.0000 0.1611
Cr 0.5000 0.0000 0.6621

The 6 most intense peaks (15 to 90 degrees two-theta), low angle first:
index	two_theta	I/Imax
0 2 2	33.19	276
2 0 0	36.28	377
1 2 2	37.96	1000
1 0 4	38.30	491
3 2 2	66.38	171
2 2 6	71.97	173